The following is a simulated XRD peak list of NdB2HF10. It was derived from a crystal structure in Alexandria, relaxed with GGA-PBE, using a wavelength of 1.5418 Å.

Cell and atoms:
a b c (Å): 7.203 5.911 8.911
angles (deg): 90.00 112.59 90.00
Space group P2_1/m (No. 11)
One atom of each set of equivalent atoms:
Nd  0.229  0.250  0.158 (multiplicity 2)
B  0.261  0.750  0.453 (multiplicity 2)
B  0.423  0.250  0.812 (multiplicity 2)
H  0.068  0.750  0.647 (multiplicity 2)
F  0.000  0.000  0.000 (multiplicity 2)
F  0.058  0.750  0.754 (multiplicity 2)
F  0.088  0.750  0.491 (multiplicity 2)
F  0.258  0.555  0.359 (multiplicity 4)
F  0.287  0.250  0.895 (multiplicity 2)
F  0.323  0.250  0.647 (multiplicity 2)
F  0.435  0.750  0.597 (multiplicity 2)
F  0.450  0.554  0.136 (multiplicity 4)

Main lines, low angle first (15 to 90 degrees two-theta):
- 18.48°, I 41
- 20.11°, I 100
- 20.57°, I 27
- 25.20°, I 70
- 25.55°, I 34
- 26.40°, I 27
- 30.24°, I 25
- 31.24°, I 35
- 43.59°, I 28
- 45.12°, I 38